(1)
For Li7Mn2Co3O12, a cell relaxed with PBE+U gives the calculated powder XRD pattern in this record (Cu Kα).
No peak broadening, texture or thermal motion is included.

Crystal structure
Cell: 19.4501 8.5456 5.1647 Å, 90.00 97.57 90.00°
Space group C2 (No. 5)
Symmetry-distinct sites (fractional):
Li 0.1266 0.0000 0.3726 x4
Li 0.1269 0.3258 0.3733 x4
Li 0.1273 0.8255 0.8779 x4
Li 0.1276 0.5011 0.8767 x4
Li 0.1292 0.1632 0.8692 x4
Li 0.1295 0.6642 0.3677 x4
Li 0.2499 0.1633 0.2498 x4
Mn 0.0000 0.3292 0.0000 x2
Mn 0.0000 0.4952 0.5000 x2
Mn 0.0000 0.8334 0.5000 x2
Mn 0.0000 0.9959 0.0000 x2
Co 0.0000 0.1639 0.5000 x2
Co 0.0000 0.6609 0.0000 x2
Co 0.2500 0.3350 0.7501 x4
Co 0.2500 0.4917 0.2500 x4
O 0.0582 0.3275 0.6629 x4
O 0.0583 0.6636 0.6740 x4
O 0.0587 0.0007 0.6597 x4
O 0.0598 0.1630 0.1660 x4
O 0.0602 0.4944 0.1659 x4
O 0.0602 0.8303 0.1656 x4
O 0.1962 0.1634 0.5895 x4
O 0.1961 0.3453 0.0452 x4
O 0.1959 0.4811 0.5464 x4
O 0.1960 0.6632 0.0891 x4
O 0.1960 0.8456 0.5464 x4
O 0.1961 0.9813 0.0450 x4

The 8 most intense peaks (10 to 90 degrees two-theta), sorted by position:
- hkl 4 0 0, 18.41 deg, d = 4.820 Å, I 100
- hkl 2 0 -2, 35.06 deg, d = 2.559 Å, I 17
- hkl 1 3 1, 36.70 deg, d = 2.449 Å, I 23
- hkl 6 0 -2, 42.13 deg, d = 2.145 Å, I 32
- hkl 5 3 1, 44.57 deg, d = 2.033 Å, I 53
- hkl 11 3 -1, 62.86 deg, d = 1.478 Å, I 15
- hkl 1 3 -3, 63.15 deg, d = 1.472 Å, I 16
- hkl 0 6 0, 65.57 deg, d = 1.424 Å, I 11


(2)
For Li2MnCoO4, a cell relaxed with PBE+U gives the calculated powder XRD pattern in this record (Cu Kα).
No peak broadening, texture or thermal motion is included.

Crystal structure
Cell: 2.9800 6.6527 7.7941 Å, 90.60 96.34 102.77°
Space group P-1 (No. 2)
Symmetry-distinct sites (fractional):
Li 0.0000 0.0000 0.0000 x1
Li 0.0000 0.5000 0.5000 x1
Li 0.4996 0.2497 0.7494 x2
Mn 0.2434 0.6219 0.8723 x2
Co 0.2537 0.1288 0.3782 x2
O 0.1062 0.3258 0.9415 x2
O 0.1302 0.8250 0.4502 x2
O 0.3762 0.9219 0.8025 x2
O 0.3987 0.4294 0.3073 x2

The 8 most intense peaks (10 to 90 degrees two-theta), sorted by position:
- hkl 0 1 1, 18.16 deg, d = 4.885 Å, I 100
- hkl 1 -1 1, 34.20 deg, d = 2.622 Å, I 19
- hkl 0 2 -2, 35.47 deg, d = 2.531 Å, I 14
- hkl 1 0 -2, 36.62 deg, d = 2.454 Å, I 11
- hkl 0 2 2, 36.78 deg, d = 2.443 Å, I 10
- hkl 1 0 2, 41.11 deg, d = 2.196 Å, I 31
- hkl 0 3 -1, 43.04 deg, d = 2.101 Å, I 27
- hkl -1 1 3, 44.70 deg, d = 2.027 Å, I 23


(3)
For Li7Mn2Co3O12, a cell relaxed with PBE+U gives the calculated powder XRD pattern in this record (Cu Kα).
No peak broadening, texture or thermal motion is included.

Crystal structure
Cell: 5.0604 8.7897 9.8522 Å, 90.00 100.26 90.00°
Space group C2/m (No. 12)
Symmetry-distinct sites (fractional):
Li 0.0000 0.0000 0.0000 x2
Li 0.2445 0.0000 0.7514 x4
Li 0.2469 0.1645 0.2460 x8
Mn 0.0000 0.3341 0.0000 x4
Co 0.0000 0.1654 0.5000 x4
Co 0.0000 0.5000 0.5000 x2
O 0.1024 0.5000 0.8885 x4
O 0.1290 0.0000 0.3821 x4
O 0.1331 0.3384 0.3864 x8
O 0.1416 0.1791 0.8884 x8

The 8 most intense peaks (10 to 90 degrees two-theta), sorted by position:
- hkl 0 0 2, 18.30 deg, d = 4.847 Å, I 100
- hkl 1 3 -1, 35.93 deg, d = 2.499 Å, I 27
- hkl 2 0 0, 36.08 deg, d = 2.490 Å, I 13
- hkl 1 3 1, 37.59 deg, d = 2.393 Å, I 10
- hkl 1 3 -3, 43.44 deg, d = 2.083 Å, I 58
- hkl 2 0 2, 43.73 deg, d = 2.070 Å, I 28
- hkl 1 3 5, 63.03 deg, d = 1.475 Å, I 15
- hkl 3 3 -1, 63.66 deg, d = 1.462 Å, I 15